The following is a theoretical PXRD pattern of Dy2Si7Ir12. It was derived from a GGA-PBE-relaxed structure, using CuKα.

```
data_Dy2Si7Ir12
_space_group_name_H-M_alt 'P -3'
_space_group_IT_number 147
_space_group_name_Hall '-P 3'
_cell_length_a 9.7471
_cell_length_b 9.7471
_cell_length_c 3.8927
_cell_angle_alpha 90.00
_cell_angle_beta 90.00
_cell_angle_gamma 120.00
loop_
_atom_site_label
_atom_site_type_symbol
_atom_site_fract_x
_atom_site_fract_y
_atom_site_fract_z
Dy1 Dy 0.3333 0.6667 0.2510
Si1 Si 0.0000 0.0000 0.5000
Si2 Si 0.1155 0.7101 0.7517
Ir1 Ir 0.0627 0.4438 0.7510
Ir2 Ir 0.1168 0.2621 0.2536
```

Most intense lines, 2θ = 10–90°, low angle first:
| d (Å) | Position (°2θ) | I/Imax | (hkl) |
| --- | --- | --- | --- |
| 3.190 | 27.97 | 19.2 | 2 1 0 |
| 2.468 | 36.41 | 100.0 | 2 1 1 |
| 2.006 | 45.19 | 11.7 | 4 -1 1 |
| 1.946 | 46.67 | 16.4 | 0 0 2 |
| 1.937 | 46.92 | 18.1 | 3 2 0 |
| 1.842 | 49.48 | 13.8 | 1 4 0 |